Starting from a DFT-relaxed cell (GGA+U, the Materials Project), the X-ray diffraction stick pattern of SrNd2Fe2O7 was computed for Cu Kα (λ = 1.5418 Å).
Peak positions follow from Bragg's law for the DFT cell and can differ from measured ones.

Most intense lines, 2θ = 10–90°, low angle first:
2θ 23.06, I 19
2θ 31.62, I 100
2θ 32.23, I 64
2θ 42.01, I 27
2θ 46.23, I 42
2θ 57.09, I 38

Structure:
```
SrNd2Fe2O7
1.0
-1.9639 1.9639 10.1980
1.9639 -1.9639 10.1980
1.9639 1.9639 -10.1980
Sr Nd Fe O
1 2 2 7
Cartesian
0.0000 0.0000 0.0000
0.0000 0.0000 12.9498
0.0000 0.0000 16.8013
0.0000 0.0000 4.4474
0.0000 0.0000 8.4994
0.0000 0.0000 2.3654
1.9639 0.0000 4.3614
0.0000 0.0000 6.4169
1.9639 0.0000 8.2876
0.0000 0.0000 10.5797
0.0000 1.9639 4.3614
0.0000 1.9639 8.2876
```



Starting from a DFT-relaxed cell (GGA+U, the Materials Project), the X-ray diffraction stick pattern of Li9Co7O16 was computed for Cu Kα (λ = 1.5418 Å).
Peak positions follow from Bragg's law for the DFT cell and can differ from measured ones.

Most intense lines, 2θ = 10–90°, low angle first:
2θ 18.78, I 100
2θ 37.11, I 37
2θ 44.83, I 50
2θ 44.94, I 25
2θ 64.83, I 13
2θ 65.81, I 13

Structure:
```
Li9Co7O16
1.0
6.4068 0.0000 0.0000
2.0237 6.0924 0.0000
3.1525 0.9473 6.7599
Li Co O
9 7 16
Cartesian
0.0000 0.0000 0.0000
3.8423 3.4225 5.5522
3.2118 2.3201 2.9418
2.5138 1.1962 0.4176
5.0734 1.0232 4.6700
6.5096 6.0166 2.0898
9.0693 5.8435 6.3423
8.3712 4.7196 3.8181
7.7408 3.6172 1.2077
4.5437 5.9281 4.2309
3.8845 4.8271 1.6639
6.4211 4.6436 5.9185
5.7915 3.5199 3.3799
5.1620 2.3962 0.8414
7.6986 2.2127 5.0960
7.0393 1.1117 2.5290
4.6022 5.2322 6.0114
3.0154 1.5987 4.8134
3.9956 4.2114 3.4960
2.4396 0.4367 2.3620
3.3424 3.1029 1.0030
7.0838 6.2854 6.6478
5.8899 2.9027 5.2073
6.3509 5.2469 4.0706
5.2322 1.7929 2.6892
5.6932 4.1371 1.5526
4.4993 0.7543 0.1120
8.2407 3.9368 5.7569
9.1434 6.6031 4.3979
7.5874 2.8283 3.2638
8.5677 5.4411 1.9465
6.9808 1.8075 0.7484
```